[1]
Simulated powder diffraction line list of La5ZnSn2 for Cu Ka, from a crystal structure in Alexandria, relaxed with PBE.
Peak positions follow from Bragg's law for the DFT cell and can differ from measured ones.

Structure:
abc: 6.895 6.898 6.900
angles: 96.14 116.46 116.57
Atoms (fractional coordinates):
La (0.000, 0.000, 0.000)
La (0.000, 0.486, 0.491)
La (0.002, 0.501, 0.991)
La (0.486, 0.998, 0.491)
La (0.490, 0.485, 0.978)
Zn (0.962, 0.965, 0.485)
Sn (0.494, 0.989, 0.993)
Sn (0.515, 0.514, 0.489)

Most intense lines, 15° ≤ 2θ ≤ 90°, sorted by position:
2θ = 31.37°, rel. 100; 2θ = 34.97°, rel. 37; 2θ = 39.08°, rel. 14; 2θ = 50.29°, rel. 13; 2θ = 53.44°, rel. 22; 2θ = 60.48°, rel. 29; 2θ = 65.45°, rel. 9; 2θ = 66.03°, rel. 11; 2θ = 73.87°, rel. 4; 2θ = 84.35°, rel. 3; 2θ = 86.90°, rel. 5; 2θ = 87.40°, rel. 9

[2]
Simulated powder diffraction line list of La4ZnSn8 for Cu Ka, from a crystal structure in Alexandria, relaxed with PBE.
Peak positions follow from Bragg's law for the DFT cell and can differ from measured ones.

Structure:
abc: 4.492 4.623 17.949
angles: 90.00 90.00 90.00
Atoms (fractional coordinates):
La (0.000, 0.000, 0.000)
La (0.000, 0.500, 0.485)
La (0.500, 0.000, 0.788)
La (0.500, 0.500, 0.285)
Zn (0.000, 0.500, 0.716)
Sn (0.000, 0.000, 0.326)
Sn (0.000, 0.000, 0.628)
Sn (0.000, 0.500, 0.141)
Sn (0.000, 0.500, 0.861)
Sn (0.500, 0.000, 0.146)
Sn (0.500, 0.000, 0.436)
Sn (0.500, 0.500, 0.626)
Sn (0.500, 0.500, 0.969)

Most intense lines, 15° ≤ 2θ ≤ 90°, sorted by position:
2θ = 24.33°, rel. 6; 2θ = 29.87°, rel. 13; 2θ = 31.54°, rel. 100; 2θ = 36.07°, rel. 9; 2θ = 38.97°, rel. 18; 2θ = 40.15°, rel. 18; 2θ = 49.83°, rel. 10; 2θ = 50.83°, rel. 6; 2θ = 54.11°, rel. 11; 2θ = 57.19°, rel. 13; 2θ = 65.96°, rel. 12; 2θ = 67.60°, rel. 11

[3]
Simulated powder diffraction line list of La8Zn2Sn for Cu Ka, from a crystal structure in Alexandria, relaxed with PBE.
Peak positions follow from Bragg's law for the DFT cell and can differ from measured ones.

Structure:
abc: 9.477 9.477 8.278
angles: 114.21 114.21 31.01
Atoms (fractional coordinates):
La (0.038, 0.038, 0.258)
La (0.178, 0.178, 0.773)
La (0.322, 0.322, 0.537)
La (0.409, 0.409, 0.038)
La (0.591, 0.591, 0.962)
La (0.678, 0.678, 0.463)
La (0.822, 0.822, 0.227)
La (0.962, 0.962, 0.742)
Zn (0.190, 0.190, 0.164)
Zn (0.810, 0.810, 0.836)
Sn (0.500, 0.500, 0.500)

Most intense lines, 15° ≤ 2θ ≤ 90°, sorted by position:
2θ = 28.24°, rel. 35; 2θ = 29.68°, rel. 18; 2θ = 30.16°, rel. 100; 2θ = 31.98°, rel. 75; 2θ = 32.68°, rel. 20; 2θ = 33.09°, rel. 27; 2θ = 35.43°, rel. 47; 2θ = 36.89°, rel. 12; 2θ = 39.37°, rel. 13; 2θ = 49.26°, rel. 17; 2θ = 58.69°, rel. 15; 2θ = 60.38°, rel. 14

[4]
Simulated powder diffraction line list of SrLa11 for Cu Ka, from a crystal structure in Alexandria, relaxed with PBE.
Peak positions follow from Bragg's law for the DFT cell and can differ from measured ones.

Structure:
abc: 11.919 11.919 3.729
angles: 90.00 90.00 120.00
Atoms (fractional coordinates):
Sr (0.000, 0.000, 0.000)
La (0.000, 0.500, 0.000)
La (0.178, 0.356, 0.500)
La (0.178, 0.822, 0.500)
La (0.333, 0.667, 0.000)
La (0.356, 0.178, 0.500)
La (0.500, 0.000, 0.000)
La (0.500, 0.500, 0.000)
La (0.644, 0.822, 0.500)
La (0.667, 0.333, 0.000)
La (0.822, 0.178, 0.500)
La (0.822, 0.644, 0.500)

Most intense lines, 15° ≤ 2θ ≤ 90°, sorted by position:
2θ = 28.23°, rel. 23; 2θ = 29.55°, rel. 51; 2θ = 29.99°, rel. 100; 2θ = 33.24°, rel. 26; 2θ = 35.50°, rel. 14; 2θ = 42.61°, rel. 17; 2θ = 47.14°, rel. 10; 2θ = 52.98°, rel. 18; 2θ = 53.25°, rel. 17; 2θ = 58.39°, rel. 30; 2θ = 62.32°, rel. 10; 2θ = 75.14°, rel. 12

[5]
Simulated powder diffraction line list of SrLa2 for Cu Ka, from a crystal structure in Alexandria, relaxed with PBE.
Peak positions follow from Bragg's law for the DFT cell and can differ from measured ones.

Structure:
abc: 8.611 8.611 5.983
angles: 90.00 90.00 120.00
Atoms (fractional coordinates):
Sr (0.000, 0.000, 0.000)
Sr (0.333, 0.667, 0.500)
Sr (0.667, 0.333, 0.500)
La (0.000, 0.222, 0.500)
La (0.000, 0.548, 0.000)
La (0.222, 0.000, 0.500)
La (0.452, 0.452, 0.000)
La (0.548, 0.000, 0.000)
La (0.778, 0.778, 0.500)

Most intense lines, 15° ≤ 2θ ≤ 90°, sorted by position:
2θ = 25.49°, rel. 51; 2θ = 28.20°, rel. 100; 2θ = 29.87°, rel. 39; 2θ = 31.75°, rel. 46; 2θ = 35.20°, rel. 22; 2θ = 44.15°, rel. 37; 2θ = 46.45°, rel. 17; 2θ = 52.00°, rel. 18; 2θ = 55.90°, rel. 10; 2θ = 56.54°, rel. 12; 2θ = 58.81°, rel. 14; 2θ = 64.97°, rel. 12

[6]
Simulated powder diffraction line list of Sr3La for Cu Ka, from a crystal structure in Alexandria, relaxed with PBE.
Peak positions follow from Bragg's law for the DFT cell and can differ from measured ones.

Structure:
abc: 5.810 5.810 5.810
angles: 90.00 90.00 90.00
Atoms (fractional coordinates):
Sr (0.000, 0.000, 0.500)
Sr (0.000, 0.500, 0.000)
Sr (0.500, 0.000, 0.000)
La (0.500, 0.500, 0.500)

Most intense lines, 15° ≤ 2θ ≤ 90°, sorted by position:
2θ = 15.25°, rel. 4; 2θ = 21.63°, rel. 4; 2θ = 26.57°, rel. 100; 2θ = 30.78°, rel. 51; 2θ = 44.09°, rel. 38; 2θ = 52.22°, rel. 46; 2θ = 54.73°, rel. 13; 2θ = 64.12°, rel. 6; 2θ = 70.68°, rel. 18; 2θ = 72.80°, rel. 17; 2θ = 81.09°, rel. 13; 2θ = 87.18°, rel. 14

[7]
Simulated powder diffraction line list of SrLa7 for Cu Ka, from a crystal structure in Alexandria, relaxed with PBE.
Peak positions follow from Bragg's law for the DFT cell and can differ from measured ones.

Structure:
abc: 9.331 9.331 9.331
angles: 156.58 102.54 82.25
Atoms (fractional coordinates):
Sr (0.000, 0.000, 0.000)
La (0.142, 0.368, 0.775)
La (0.247, 0.747, 0.500)
La (0.407, 0.632, 0.775)
La (0.500, 0.000, 0.500)
La (0.593, 0.368, 0.225)
La (0.753, 0.253, 0.500)
La (0.858, 0.632, 0.225)

Most intense lines, 15° ≤ 2θ ≤ 90°, sorted by position:
2θ = 28.81°, rel. 69; 2θ = 29.67°, rel. 100; 2θ = 30.34°, rel. 42; 2θ = 30.63°, rel. 40; 2θ = 33.00°, rel. 24; 2θ = 35.69°, rel. 20; 2θ = 43.66°, rel. 24; 2θ = 48.04°, rel. 14; 2θ = 52.92°, rel. 19; 2θ = 54.02°, rel. 19; 2θ = 57.49°, rel. 31; 2θ = 58.06°, rel. 13

[8]
Simulated powder diffraction line list of Sr2La for Cu Ka, from a crystal structure in Alexandria, relaxed with PBE.
Peak positions follow from Bragg's law for the DFT cell and can differ from measured ones.

Structure:
abc: 9.267 9.267 9.267
angles: 155.10 155.10 35.50
Atoms (fractional coordinates):
Sr (0.159, 0.159, 0.000)
Sr (0.841, 0.841, 0.000)
La (0.500, 0.500, 0.000)

Most intense lines, 15° ≤ 2θ ≤ 90°, sorted by position:
2θ = 26.98°, rel. 100; 2θ = 30.38°, rel. 18; 2θ = 31.68°, rel. 33; 2θ = 44.46°, rel. 25; 2θ = 45.41°, rel. 12; 2θ = 51.94°, rel. 15; 2θ = 53.61°, rel. 29; 2θ = 55.62°, rel. 13; 2θ = 71.42°, rel. 11; 2θ = 72.82°, rel. 6; 2θ = 75.22°, rel. 5; 2θ = 83.23°, rel. 8

What did the second record say?
Simulated powder diffraction line list of La4ZnSn8 for Cu Ka, from a crystal structure in Alexandria, relaxed with PBE.
Peak positions follow from Bragg's law for the DFT cell and can differ from measured ones.

Structure:
abc: 4.492 4.623 17.949
angles: 90.00 90.00 90.00
Atoms (fractional coordinates):
La (0.000, 0.000, 0.000)
La (0.000, 0.500, 0.485)
La (0.500, 0.000, 0.788)
La (0.500, 0.500, 0.285)
Zn (0.000, 0.500, 0.716)
Sn (0.000, 0.000, 0.326)
Sn (0.000, 0.000, 0.628)
Sn (0.000, 0.500, 0.141)
Sn (0.000, 0.500, 0.861)
Sn (0.500, 0.000, 0.146)
Sn (0.500, 0.000, 0.436)
Sn (0.500, 0.500, 0.626)
Sn (0.500, 0.500, 0.969)

Most intense lines, 15° ≤ 2θ ≤ 90°, sorted by position:
2θ = 24.33°, rel. 6; 2θ = 29.87°, rel. 13; 2θ = 31.54°, rel. 100; 2θ = 36.07°, rel. 9; 2θ = 38.97°, rel. 18; 2θ = 40.15°, rel. 18; 2θ = 49.83°, rel. 10; 2θ = 50.83°, rel. 6; 2θ = 54.11°, rel. 11; 2θ = 57.19°, rel. 13; 2θ = 65.96°, rel. 12; 2θ = 67.60°, rel. 11